(1)
Structure and theoretical PXRD pattern of Li5MnCo2O8 (a PBE+U-relaxed structure; λ = 1.5418 Å (Cu Kα)).
Lines closer than 0.1° are merged.

Unit cell a=12.724 b=2.918 c=9.868 alpha=90.00 beta=128.86 gamma=90.00
Space group C2/m (No. 12)
Unique sites:
Li: 0.000 0.000 0.000 x2
Li: 0.125 0.500 0.882 x4
Li: 0.126 0.000 0.372 x4
Mn: 0.000 0.500 0.500 x2
Co: 0.231 0.500 0.235 x4
O: 0.058 0.000 0.666 x4
O: 0.074 0.500 0.196 x4
O: 0.180 0.500 0.571 x4
O: 0.196 0.000 0.078 x4

The 10 most intense peaks (5° ≤ 2θ ≤ 70°), in order of rising 2θ:
hkl	2θ (°)	I/Imax
0 0 1	11.52	18
2 0 -2	18.30	100
2 0 1	26.84	13
1 1 0	32.00	12
1 1 1	36.04	25
4 0 0	36.26	14
1 1 -3	43.46	63
6 0 -2	44.06	27
7 1 -5	63.29	16
5 1 1	63.92	14

(2)
Structure and theoretical PXRD pattern of Li5MnCo2O8 (a PBE+U-relaxed structure; λ = 1.5418 Å (Cu Kα)).
Lines closer than 0.1° are merged.

Unit cell a=4.953 b=5.120 c=5.907 alpha=72.66 beta=89.53 gamma=79.72
Space group P-1 (No. 2)
Unique sites:
Li: 0.000 0.000 0.000 x1
Li: 0.245 0.497 0.881 x2
Li: 0.247 0.502 0.371 x2
Mn: 0.000 0.000 0.500 x1
Co: 0.499 0.000 0.760 x2
O: 0.136 0.225 0.212 x2
O: 0.139 0.218 0.676 x2
O: 0.356 0.773 0.552 x2
O: 0.395 0.765 0.057 x2

The 10 most intense peaks (5° ≤ 2θ ≤ 70°), in order of rising 2θ:
hkl	2θ (°)	I/Imax
1 0 0	18.22	13
0 1 0	18.47	100
1 0 -1	23.54	14
1 1 2	35.73	15
1 0 -2	36.07	13
2 0 0	36.93	12
1 2 2	43.20	33
1 1 -2	43.74	31
2 -1 0	44.74	29
2 3 0	63.40	16

(3)
Structure and theoretical PXRD pattern of Li2MnCoO4 (a PBE+U-relaxed structure; λ = 1.5418 Å (Cu Kα)).
Lines closer than 0.1° are merged.

Unit cell a=12.833 b=3.014 c=9.899 alpha=90.00 beta=128.92 gamma=90.00
Space group C2/m (No. 12)
Unique sites:
Li: 0.000 0.000 0.000 x2
Li: 0.000 0.500 0.500 x2
Li: 0.248 0.000 0.744 x4
Mn: 0.124 0.500 0.872 x4
Co: 0.128 0.000 0.381 x4
O: 0.053 0.500 0.193 x4
O: 0.066 0.000 0.700 x4
O: 0.187 0.500 0.551 x4
O: 0.193 0.000 0.056 x4

The 10 most intense peaks (5° ≤ 2θ ≤ 70°), in order of rising 2θ:
hkl	2θ (°)	I/Imax
2 0 -2	18.23	100
1 1 1	35.14	29
4 0 0	35.98	13
4 0 -4	36.89	14
1 1 -3	42.68	54
6 0 -2	43.64	25
5 1 -3	47.00	10
3 1 -5	56.48	10
7 1 -5	62.37	21
5 1 1	63.01	14

(4)
Structure and theoretical PXRD pattern of Li7Mn2Co3O12 (a PBE+U-relaxed structure; λ = 1.5418 Å (Cu Kα)).
Lines closer than 0.1° are merged.

Unit cell a=15.362 b=2.914 c=10.241 alpha=90.00 beta=111.25 gamma=90.00
Space group Cm (No. 8)
Unique sites:
Li: 0.000 0.000 0.000 x2
Li: 0.000 0.500 0.226 x2
Li: 0.005 0.500 0.768 x2
Li: 0.166 0.000 0.923 x2
Li: 0.171 0.000 0.406 x2
Li: 0.329 0.500 0.580 x2
Li: 0.338 0.500 0.081 x2
Mn: 0.002 0.000 0.497 x2
Mn: 0.336 0.000 0.834 x2
Co: 0.154 0.500 0.151 x2
Co: 0.167 0.500 0.664 x2
Co: 0.326 0.000 0.319 x2
O: 0.079 0.500 0.472 x2
O: 0.088 0.000 0.207 x2
O: 0.091 0.000 0.693 x2
O: 0.091 0.500 0.964 x2
O: 0.242 0.000 0.633 x2
O: 0.254 0.500 0.854 x2
O: 0.255 0.000 0.133 x2
O: 0.257 0.500 0.373 x2
O: 0.405 0.500 0.788 x2
O: 0.407 0.000 0.020 x2
O: 0.421 0.500 0.308 x2
O: 0.430 0.000 0.535 x2

The 10 most intense peaks (5° ≤ 2θ ≤ 70°), in order of rising 2θ:
hkl	2θ (°)	I/Imax
0 0 1	9.27	11
2 0 0	12.36	9
2 0 -2	18.22	100
3 1 0	36.12	25
4 0 2	36.43	12
5 1 -2	43.46	56
2 0 4	44.14	26
7 1 -4	57.07	10
3 1 -6	63.15	15
7 1 2	64.20	14

(5)
Structure and theoretical PXRD pattern of Li7Mn2Co3O12 (a PBE+U-relaxed structure; λ = 1.5418 Å (Cu Kα)).
Lines closer than 0.1° are merged.

Unit cell a=5.864 b=6.497 c=6.561 alpha=71.70 beta=64.16 gamma=77.10
Space group P1 (No. 1)
Unique sites:
Li: 0.000 0.000 0.000 x1
Li: 0.081 0.324 0.162 x1
Li: 0.251 0.995 0.499 x1
Li: 0.411 0.676 0.835 x1
Li: 0.596 0.324 0.161 x1
Li: 0.754 0.001 0.492 x1
Li: 0.917 0.674 0.831 x1
Mn: 0.674 0.667 0.327 x1
Mn: 0.830 0.332 0.669 x1
Co: 0.169 0.668 0.326 x1
Co: 0.326 0.316 0.676 x1
Co: 0.502 0.997 0.004 x1
O: 0.027 0.664 0.113 x1
O: 0.150 0.978 0.240 x1
O: 0.179 0.350 0.433 x1
O: 0.314 0.651 0.552 x1
O: 0.380 0.015 0.746 x1
O: 0.478 0.330 0.899 x1
O: 0.560 0.667 0.091 x1
O: 0.625 0.978 0.249 x1
O: 0.709 0.347 0.426 x1
O: 0.779 0.652 0.574 x1
O: 0.859 0.022 0.748 x1
O: 0.958 0.340 0.890 x1

The 10 most intense peaks (5° ≤ 2θ ≤ 70°), in order of rising 2θ:
hkl	2θ (°)	I/Imax
0 1 1	18.40	100
2 1 0	35.81	14
2 0 2	36.16	13
0 2 -1	36.48	12
2 -1 1	37.78	10
2 0 -1	43.22	30
2 1 3	43.78	28
0 3 0	44.28	27
-2 3 1	63.26	8
4 1 2	63.45	8

(6)
Structure and theoretical PXRD pattern of Li7Mn2Co3O12 (a PBE+U-relaxed structure; λ = 1.5418 Å (Cu Kα)).
Lines closer than 0.1° are merged.

Unit cell a=2.907 b=8.357 c=9.849 alpha=65.15 beta=88.14 gamma=89.90
Space group P1 (No. 1)
Unique sites:
Li: 0.000 0.000 0.000 x1
Li: 0.002 0.510 0.000 x1
Li: 0.013 0.165 0.667 x1
Li: 0.484 0.693 0.147 x1
Li: 0.489 0.317 0.831 x1
Li: 0.524 0.004 0.504 x1
Li: 0.964 0.845 0.311 x1
Mn: 0.012 0.674 0.664 x1
Mn: 0.478 0.163 0.159 x1
Co: 0.502 0.858 0.837 x1
Co: 0.507 0.504 0.494 x1
Co: 0.982 0.342 0.325 x1
O: 0.011 0.899 0.667 x1
O: 0.021 0.441 0.652 x1
O: 0.466 0.404 0.173 x1
O: 0.480 0.942 0.163 x1
O: 0.499 0.266 0.480 x1
O: 0.500 0.599 0.809 x1
O: 0.501 0.081 0.821 x1
O: 0.522 0.742 0.517 x1
O: 0.965 0.102 0.309 x1
O: 0.983 0.581 0.341 x1
O: 0.989 0.249 0.015 x1
O: 0.991 0.756 0.985 x1

The 10 most intense peaks (5° ≤ 2θ ≤ 70°), in order of rising 2θ:
hkl	2θ (°)	I/Imax
0 0 1	9.90	11
0 1 0	11.69	12
0 1 -1	18.26	100
1 1 2	35.56	13
0 3 3	35.64	13
-1 1 2	36.54	12
1 0 3	42.72	28
0 4 2	43.31	26
1 0 -3	44.32	26
1 -4 1	62.39	14

(7)
Structure and theoretical PXRD pattern of Li5Mn2CoO8 (a PBE+U-relaxed structure; λ = 1.5418 Å (Cu Kα)).
Lines closer than 0.1° are merged.

Unit cell a=2.893 b=9.795 c=10.062 alpha=78.75 beta=89.59 gamma=89.42
Space group P-1 (No. 2)
Unique sites:
Li: 0.000 0.000 0.000 x1
Li: 0.001 0.259 0.615 x2
Li: 0.012 0.760 0.879 x2
Li: 0.490 0.743 0.618 x2
Li: 0.498 0.240 0.884 x2
Li: 0.500 0.500 0.500 x1
Mn: 0.010 0.498 0.260 x2
Mn: 0.498 0.000 0.246 x2
Co: 0.000 0.000 0.500 x1
Co: 0.500 0.500 0.000 x1
O: 0.003 0.886 0.201 x2
O: 0.005 0.895 0.684 x2
O: 0.006 0.381 0.425 x2
O: 0.024 0.613 0.065 x2
O: 0.485 0.609 0.806 x2
O: 0.494 0.387 0.697 x2
O: 0.495 0.117 0.080 x2
O: 0.497 0.108 0.560 x2

The 10 most intense peaks (5° ≤ 2θ ≤ 70°), in order of rising 2θ:
hkl	2θ (°)	I/Imax
0 1 1	11.53	28
0 1 -1	14.06	15
0 0 2	17.98	9
0 2 0	18.47	100
1 1 2	36.13	12
0 0 4	36.43	24
1 3 2	43.47	31
-1 3 2	43.99	30
0 2 -4	44.43	29
2 0 0	64.42	16

(8)
Structure and theoretical PXRD pattern of Li5Mn2CoO8 (a PBE+U-relaxed structure; λ = 1.5418 Å (Cu Kα)).
Lines closer than 0.1° are merged.

Unit cell a=5.949 b=2.903 c=8.273 alpha=90.00 beta=90.50 gamma=90.00
Space group Pm (No. 6)
Unique sites:
Li: 0.000 0.000 0.000 x1
Li: 0.005 0.000 0.487 x1
Li: 0.245 0.500 0.766 x1
Li: 0.505 0.000 0.001 x1
Li: 0.768 0.500 0.228 x1
Mn: 0.502 0.000 0.491 x1
Mn: 0.757 0.500 0.755 x1
Co: 0.238 0.500 0.219 x1
O: 0.015 0.000 0.252 x1
O: 0.258 0.500 0.004 x1
O: 0.286 0.500 0.500 x1
O: 0.493 0.000 0.265 x1
O: 0.528 0.000 0.733 x1
O: 0.725 0.500 0.504 x1
O: 0.751 0.500 0.972 x1
O: 0.972 0.000 0.738 x1

The 10 most intense peaks (5° ≤ 2θ ≤ 70°), in order of rising 2θ:
hkl	2θ (°)	I/Imax
0 0 1	10.69	17
1 0 0	14.89	13
1 0 -1	18.29	100
1 0 2	26.35	12
1 0 3	36.03	15
1 1 1	36.14	24
2 1 0	43.57	62
0 0 4	43.77	28
2 1 -4	63.25	15
2 1 4	63.69	14

(9)
Structure and theoretical PXRD pattern of Li7Mn4CoO12 (a PBE+U-relaxed structure; λ = 1.5418 Å (Cu Kα)).
Lines closer than 0.1° are merged.

Unit cell a=5.844 b=5.971 c=7.636 alpha=69.93 beta=78.87 gamma=60.81
Space group P1 (No. 1)
Unique sites:
Li: 0.000 0.000 0.000 x1
Li: 0.006 0.480 0.006 x1
Li: 0.163 0.334 0.663 x1
Li: 0.328 0.182 0.322 x1
Li: 0.493 0.999 0.003 x1
Li: 0.665 0.827 0.670 x1
Li: 0.839 0.665 0.330 x1
Mn: 0.167 0.826 0.667 x1
Mn: 0.498 0.499 0.999 x1
Mn: 0.671 0.322 0.668 x1
Mn: 0.833 0.166 0.329 x1
Co: 0.324 0.679 0.323 x1
O: 0.027 0.739 0.497 x1
O: 0.155 0.078 0.182 x1
O: 0.189 0.580 0.166 x1
O: 0.338 0.869 0.837 x1
O: 0.362 0.396 0.839 x1
O: 0.496 0.707 0.511 x1
O: 0.520 0.249 0.502 x1
O: 0.634 0.601 0.155 x1
O: 0.657 0.126 0.159 x1
O: 0.806 0.419 0.830 x1
O: 0.833 0.949 0.806 x1
O: 0.973 0.259 0.501 x1

The 10 most intense peaks (5° ≤ 2θ ≤ 70°), in order of rising 2θ:
hkl	2θ (°)	I/Imax
1 1 0	18.33	100
1 -1 1	34.58	16
1 1 3	36.34	23
0 2 -1	41.66	33
2 0 -2	44.21	56
-2 2 1	62.19	8
2 4 2	62.29	8
2 0 4	62.40	8
2 2 -3	62.57	8
0 2 5	64.91	9

(10)
Structure and theoretical PXRD pattern of Li7Mn2Co3O12 (a PBE+U-relaxed structure; λ = 1.5418 Å (Cu Kα)).
Lines closer than 0.1° are merged.

Unit cell a=2.983 b=7.649 c=10.144 alpha=72.88 beta=88.91 gamma=80.14
Space group P1 (No. 1)
Unique sites:
Li: 0.000 0.000 0.000 x1
Li: 0.008 0.996 0.500 x1
Li: 0.182 0.657 0.257 x1
Li: 0.311 0.346 0.491 x1
Li: 0.347 0.329 0.997 x1
Li: 0.649 0.672 0.003 x1
Li: 0.661 0.663 0.485 x1
Mn: 0.164 0.666 0.748 x1
Mn: 0.826 0.338 0.247 x1
Co: 0.496 0.000 0.750 x1
Co: 0.502 0.987 0.243 x1
Co: 0.841 0.331 0.745 x1
O: 0.071 0.830 0.866 x1
O: 0.101 0.854 0.360 x1
O: 0.265 0.501 0.631 x1
O: 0.271 0.476 0.138 x1
O: 0.396 0.176 0.349 x1
O: 0.415 0.164 0.863 x1
O: 0.541 0.838 0.632 x1
O: 0.568 0.851 0.131 x1
O: 0.758 0.482 0.365 x1
O: 0.794 0.493 0.864 x1
O: 0.885 0.160 0.136 x1
O: 0.923 0.165 0.633 x1

The 10 most intense peaks (5° ≤ 2θ ≤ 70°), in order of rising 2θ:
hkl	2θ (°)	I/Imax
0 0 1	9.13	14
0 1 0	12.29	10
0 0 2	18.31	100
1 -1 0	34.93	17
1 2 0	35.95	13
0 3 2	36.54	11
1 -1 2	41.97	33
1 2 -2	43.60	29
0 3 4	44.61	26
2 1 0	62.29	9